Entry 1:
Diffraction record for La2Zn6Ga3. The powder diffraction line list is calculated, not measured: it uses a structure optimized by DFT (GGA-PBE) and Cu Ka.

Principal peaks in the range 2θ = 10–90°, by intensity:
2θ 31.40, I = 100
2θ 41.48, I = 51
2θ 40.08, I = 35
2θ 43.33, I = 25
2θ 67.43, I = 22
2θ 35.18, I = 20
2θ 60.49, I = 20
2θ 51.78, I = 15

Crystal structure
Cell lengths 7.7924, 7.7924, 4.1768 Å; angles 90.00, 90.00, 120.00 degrees
Sites, in units of the cell vectors:
La 0.3333 0.6667 0.0000
La 0.6667 0.3333 0.0000
Zn 0.0000 0.2919 0.5000
Zn 0.0000 0.8116 0.0000
Zn 0.1884 0.1884 0.0000
Zn 0.2919 0.0000 0.5000
Zn 0.7081 0.7081 0.5000
Zn 0.8116 0.0000 0.0000
Ga 0.0000 0.6266 0.5000
Ga 0.3734 0.3734 0.5000
Ga 0.6266 0.0000 0.5000

---

Entry 2:
Diffraction record for Li3Ga7. The powder diffraction line list is calculated, not measured: it uses a structure optimized by DFT (GGA-PBE) and Cu Ka.

Principal peaks in the range 2θ = 10–90°, by intensity:
2θ 24.52, I = 100
2θ 23.83, I = 67
2θ 41.44, I = 62
2θ 44.05, I = 44
2θ 39.63, I = 43
2θ 15.74, I = 41
2θ 42.15, I = 36
2θ 48.78, I = 35

Crystal structure
Cell lengths 7.5952, 7.5952, 7.5952 Å; angles 68.74, 68.74, 68.74 degrees
Sites, in units of the cell vectors:
Li 0.1219 0.1219 0.5217
Li 0.1219 0.5217 0.1219
Li 0.4783 0.8781 0.8781
Li 0.5217 0.1219 0.1219
Li 0.8781 0.4783 0.8781
Li 0.8781 0.8781 0.4783
Ga 0.0759 0.0759 0.0759
Ga 0.1734 0.4919 0.4919
Ga 0.1819 0.7057 0.7057
Ga 0.2943 0.2943 0.8181
Ga 0.2943 0.8181 0.2943
Ga 0.4919 0.1734 0.4919
Ga 0.4919 0.4919 0.1734
Ga 0.5081 0.5081 0.8266
Ga 0.5081 0.8266 0.5081
Ga 0.7057 0.1819 0.7057
Ga 0.7057 0.7057 0.1819
Ga 0.8181 0.2943 0.2943
Ga 0.8266 0.5081 0.5081
Ga 0.9241 0.9241 0.9241

---

Entry 3:
Diffraction record for Li4Ga. The powder diffraction line list is calculated, not measured: it uses a structure optimized by DFT (GGA-PBE) and Cu Ka.

Principal peaks in the range 2θ = 10–90°, by intensity:
2θ 13.39, I = 100
2θ 20.22, I = 38
2θ 20.87, I = 35
2θ 38.43, I = 27
2θ 38.81, I = 21
2θ 26.96, I = 18
2θ 27.38, I = 17
2θ 28.82, I = 14

Crystal structure
Cell lengths 2.8266, 4.5947, 6.9609 Å; angles 105.63, 97.70, 94.61 degrees
Sites, in units of the cell vectors:
Li 0.0888 0.3978 0.3157
Li 0.2559 0.1920 0.8761
Li 0.7441 0.8080 0.1239
Li 0.9112 0.6022 0.6843
Ga 0.5000 0.0000 0.5000

---

Entry 4:
Diffraction record for Li5Ga6. The powder diffraction line list is calculated, not measured: it uses a structure optimized by DFT (GGA-PBE) and Cu Ka.

Principal peaks in the range 2θ = 10–90°, by intensity:
2θ 25.91, I = 100
2θ 40.40, I = 99
2θ 30.65, I = 96
2θ 18.51, I = 83
2θ 46.76, I = 70
2θ 37.96, I = 53
2θ 42.13, I = 45
2θ 53.00, I = 40

Crystal structure
Cell lengths 14.5404, 14.5404, 2.9786 Å; angles 90.00, 90.00, 163.04 degrees
Sites, in units of the cell vectors:
Li 0.0000 0.0000 0.0000
Li 0.1889 0.8111 0.5000
Li 0.3714 0.6286 0.0000
Li 0.6286 0.3714 0.0000
Li 0.8111 0.1889 0.5000
Ga 0.0932 0.9068 0.5000
Ga 0.2757 0.7243 0.0000
Ga 0.4558 0.5442 0.5000
Ga 0.5442 0.4558 0.5000
Ga 0.7243 0.2757 0.0000
Ga 0.9068 0.0932 0.5000

---

Entry 5:
Diffraction record for LiGa8. The powder diffraction line list is calculated, not measured: it uses a structure optimized by DFT (GGA-PBE) and Cu Ka.

Principal peaks in the range 2θ = 10–90°, by intensity:
2θ 37.43, I = 100
2θ 45.46, I = 29
2θ 61.65, I = 23
2θ 39.33, I = 22
2θ 78.65, I = 21
2θ 70.06, I = 15
2θ 79.85, I = 10
2θ 66.25, I = 9

Crystal structure
Cell lengths 6.4086, 6.4086, 6.4086 Å; angles 97.34, 97.34, 138.11 degrees
Sites, in units of the cell vectors:
Li 0.0000 0.0000 0.0000
Ga 0.0000 0.3320 0.3320
Ga 0.0000 0.6680 0.6680
Ga 0.3320 0.0000 0.3320
Ga 0.3341 0.3341 0.6682
Ga 0.3341 0.6659 0.0000
Ga 0.6659 0.3341 0.0000
Ga 0.6659 0.6659 0.3318
Ga 0.6680 0.0000 0.6680

---

Entry 6:
Diffraction record for Li5Ga4. The powder diffraction line list is calculated, not measured: it uses a structure optimized by DFT (GGA-PBE) and Cu Ka.

Principal peaks in the range 2θ = 10–90°, by intensity:
2θ 25.94, I = 100
2θ 40.50, I = 82
2θ 41.44, I = 72
2θ 21.47, I = 50
2θ 47.13, I = 37
2θ 59.33, I = 26
2θ 74.94, I = 25
2θ 49.54, I = 17

Crystal structure
Cell lengths 4.3584, 4.3584, 8.2771 Å; angles 90.00, 90.00, 120.00 degrees
Sites, in units of the cell vectors:
Li 0.0000 0.0000 0.0000
Li 0.3333 0.6667 0.1187
Li 0.3333 0.6667 0.4475
Li 0.6667 0.3333 0.5525
Li 0.6667 0.3333 0.8813
Ga 0.0000 0.0000 0.3339
Ga 0.0000 0.0000 0.6661
Ga 0.3333 0.6667 0.7809
Ga 0.6667 0.3333 0.2191

---

Entry 7:
Diffraction record for LiMgGa2. The powder diffraction line list is calculated, not measured: it uses a structure optimized by DFT (GGA-PBE) and Cu Ka.

Principal peaks in the range 2θ = 10–90°, by intensity:
2θ 37.98, I = 100
2θ 21.42, I = 92
2θ 44.19, I = 65
2θ 37.69, I = 51
2θ 37.82, I = 51
2θ 30.72, I = 38
2θ 30.99, I = 37
2θ 43.63, I = 34

Crystal structure
Cell lengths 4.0988, 4.0988, 5.0596 Å; angles 113.98, 113.98, 89.52 degrees
Sites, in units of the cell vectors:
Li 0.0000 0.0000 0.0000
Mg 0.5000 0.5000 0.0000
Ga 0.2494 0.7506 0.5000
Ga 0.7506 0.2494 0.5000

---

Entry 8:
Diffraction record for Li8Mg3Ga2. The powder diffraction line list is calculated, not measured: it uses a structure optimized by DFT (GGA-PBE) and Cu Ka.

Principal peaks in the range 2θ = 10–90°, by intensity:
2θ 22.45, I = 100
2θ 14.91, I = 80
2θ 37.83, I = 79
2θ 24.26, I = 73
2θ 39.61, I = 58
2θ 19.03, I = 51
2θ 38.60, I = 46
2θ 23.53, I = 43

Crystal structure
Cell lengths 7.0056, 4.6644, 7.8437 Å; angles 90.00, 107.27, 90.00 degrees
Sites, in units of the cell vectors:
Li 0.0222 0.0000 0.3360
Li 0.0805 0.5000 0.8663
Li 0.3726 0.5000 0.2008
Li 0.3880 0.0000 0.8315
Li 0.6120 0.0000 0.1685
Li 0.6274 0.5000 0.7992
Li 0.9195 0.5000 0.1337
Li 0.9778 0.0000 0.6640
Mg 0.2285 0.5000 0.5350
Mg 0.5000 0.0000 0.5000
Mg 0.7715 0.5000 0.4650
Ga 0.1880 0.0000 0.0773
Ga 0.8120 0.0000 0.9227

---

Entry 9:
Diffraction record for Li5Mg4Ga. The powder diffraction line list is calculated, not measured: it uses a structure optimized by DFT (GGA-PBE) and Cu Ka.

Principal peaks in the range 2θ = 10–90°, by intensity:
2θ 20.19, I = 100
2θ 35.22, I = 92
2θ 28.63, I = 77
2θ 20.09, I = 57
2θ 32.01, I = 50
2θ 40.86, I = 46
2θ 43.43, I = 42
2θ 38.31, I = 41

Crystal structure
Cell lengths 6.7461, 6.7461, 6.7461 Å; angles 98.12, 98.12, 135.85 degrees
Sites, in units of the cell vectors:
Li 0.0000 0.0000 0.0000
Li 0.0849 0.0849 0.6417
Li 0.0849 0.4432 0.0000
Li 0.4432 0.0849 0.0000
Li 0.4432 0.4432 0.3583
Mg 0.0574 0.7408 0.3166
Mg 0.4242 0.7408 0.6834
Mg 0.7408 0.0574 0.3166
Mg 0.7408 0.4242 0.6834
Ga 0.5278 0.5278 0.0000

---

Entry 10:
Diffraction record for Li2MgGa6. The powder diffraction line list is calculated, not measured: it uses a structure optimized by DFT (GGA-PBE) and Cu Ka.

Principal peaks in the range 2θ = 10–90°, by intensity:
2θ 40.87, I = 100
2θ 36.55, I = 79
2θ 50.15, I = 78
2θ 27.79, I = 68
2θ 23.26, I = 66
2θ 72.86, I = 34
2θ 55.98, I = 22
2θ 71.60, I = 21

Crystal structure
Cell lengths 7.6482, 7.6482, 3.2099 Å; angles 90.00, 90.00, 120.00 degrees
Sites, in units of the cell vectors:
Li 0.3333 0.6667 0.0000
Li 0.6667 0.3333 0.0000
Mg 0.0000 0.0000 0.0000
Ga 0.0000 0.3341 0.5000
Ga 0.0000 0.6659 0.5000
Ga 0.3341 0.0000 0.5000
Ga 0.3341 0.3341 0.5000
Ga 0.6659 0.0000 0.5000
Ga 0.6659 0.6659 0.5000

---

Entry 11:
Diffraction record for Li12Mg2Ga. The powder diffraction line list is calculated, not measured: it uses a structure optimized by DFT (GGA-PBE) and Cu Ka.

Principal peaks in the range 2θ = 10–90°, by intensity:
2θ 17.86, I = 100
2θ 13.38, I = 68
2θ 35.10, I = 50
2θ 22.38, I = 46
2θ 25.36, I = 44
2θ 39.65, I = 44
2θ 18.41, I = 38
2θ 36.47, I = 37

Crystal structure
Cell lengths 5.7953, 5.7953, 19.8507 Å; angles 90.00, 90.00, 118.06 degrees
Sites, in units of the cell vectors:
Li 0.0001 0.9999 0.0663
Li 0.9999 0.0001 0.9337
Li 0.9998 0.4998 0.1211
Li 0.0002 0.5002 0.8789
Li 0.0064 0.5064 0.4182
Li 0.0073 0.9927 0.5612
Li 0.2500 0.2500 0.1963
Li 0.2500 0.2500 0.3242
Li 0.2500 0.2500 0.6758
Li 0.2500 0.2500 0.8037
Li 0.4927 0.5073 0.5612
Li 0.4936 0.9936 0.4182
Li 0.5002 0.0002 0.1211
Li 0.4998 0.9998 0.8789
Li 0.4999 0.5001 0.0663
Li 0.5001 0.4999 0.9337
Li 0.5064 0.0064 0.5818
Li 0.5073 0.4927 0.4388
Li 0.7500 0.7500 0.1963
Li 0.7500 0.7500 0.3242
Li 0.7500 0.7500 0.6758
Li 0.7500 0.7500 0.8037
Li 0.9927 0.0073 0.4388
Li 0.9936 0.4936 0.5818
Mg 0.2500 0.7500 0.2705
Mg 0.2500 0.7500 0.7285
Mg 0.7500 0.2500 0.2715
Mg 0.7500 0.2500 0.7295
Ga 0.2500 0.7500 0.0000
Ga 0.7500 0.2500 0.0000

---

Entry 12:
Diffraction record for Li2MgGa6. The powder diffraction line list is calculated, not measured: it uses a structure optimized by DFT (GGA-PBE) and Cu Ka.

Principal peaks in the range 2θ = 10–90°, by intensity:
2θ 42.11, I = 100
2θ 27.87, I = 82
2θ 48.18, I = 69
2θ 32.69, I = 56
2θ 24.12, I = 54
2θ 37.18, I = 53
2θ 23.58, I = 52
2θ 43.99, I = 52

Crystal structure
Cell lengths 7.7258, 7.7258, 7.7258 Å; angles 155.33, 122.95, 63.09 degrees
Sites, in units of the cell vectors:
Li 0.1378 0.1378 0.0000
Li 0.8622 0.8622 0.0000
Mg 0.5000 0.0000 0.5000
Ga 0.1447 0.3209 0.8238
Ga 0.1783 0.5000 0.6783
Ga 0.4971 0.3209 0.1762
Ga 0.5029 0.6791 0.8238
Ga 0.8217 0.5000 0.3217
Ga 0.8553 0.6791 0.1762

---

Entry 13:
Diffraction record for Li3Mg3Ga2. The powder diffraction line list is calculated, not measured: it uses a structure optimized by DFT (GGA-PBE) and Cu Ka.

Principal peaks in the range 2θ = 10–90°, by intensity:
2θ 11.00, I = 100
2θ 36.71, I = 63
2θ 31.07, I = 27
2θ 36.78, I = 21
2θ 22.10, I = 19
2θ 28.96, I = 19
2θ 41.04, I = 16
2θ 41.80, I = 15

Crystal structure
Cell lengths 4.3221, 4.3984, 8.6114 Å; angles 104.76, 104.41, 90.16 degrees
Sites, in units of the cell vectors:
Li 0.0000 0.0000 0.0000
Li 0.1400 0.6401 0.2797
Li 0.8600 0.3599 0.7203
Mg 0.3662 0.8666 0.7309
Mg 0.5000 0.5000 0.0000
Mg 0.6338 0.1334 0.2691
Ga 0.2486 0.2513 0.5004
Ga 0.7514 0.7487 0.4996